Entry 1:
Starting from a crystal structure in Alexandria, relaxed with PBE, the PXRD pattern of Ce5Si was computed for Cu Kα (weighted mean of Kα1 and Kα2).
Peak positions follow from Bragg's law for the DFT cell and can differ from measured ones.

Principal peaks in the range 10 to 90 degrees two-theta, in order of rising 2θ:
Position (°2θ)  intensity  (hkl)
34.1  100  1 3 1
38.2  19  0 0 2
38.9  15  0 6 0
41.7  15  2 0 0
55.7  11  0 6 2
57.9  11  2 0 2
66.5  14  1 3 3
71.3  12  3 3 1

Atomic structure:
Unit cell a=4.3295 b=13.8940 c=4.7100 alpha=90.00 beta=90.00 gamma=90.00
Space group Cmmm (No. 65)
One atom of each set of equivalent atoms:
Ce (0.0000, 0.0000, 0.0000) [2 per cell]
Ce (0.0000, 0.1724, 0.5000) [4 per cell]
Ce (0.0000, 0.3514, 0.0000) [4 per cell]
Si (0.0000, 0.5000, 0.5000) [2 per cell]


Entry 2:
Starting from a crystal structure in Alexandria, relaxed with PBE, the PXRD pattern of CaLa5Se6 was computed for Cu Kα (weighted mean of Kα1 and Kα2).
Peak positions follow from Bragg's law for the DFT cell and can differ from measured ones.

Principal peaks in the range 10 to 90 degrees two-theta, in order of rising 2θ:
Position (°2θ)  intensity  (hkl)
25.4  8  2 0 0
29.4  100  1 3 1
42.0  74  2 0 2
52.1  26  0 0 4
60.9  12  2 6 2
69.1  28  0 6 4
76.8  18  1 3 5
76.9  6  5 3 1

Atomic structure:
Unit cell a=7.4414 b=12.9111 c=7.4465 alpha=90.00 beta=109.50 gamma=90.00
Space group C2/m (No. 12)
One atom of each set of equivalent atoms:
Ca (0.0000, 0.0000, 0.0000) [2 per cell]
La (0.0000, 0.1685, 0.5000) [4 per cell]
La (0.0000, 0.3336, 0.0000) [4 per cell]
La (0.0000, 0.5000, 0.5000) [2 per cell]
Se (0.2433, 0.0000, 0.7537) [4 per cell]
Se (0.2445, 0.1630, 0.2451) [8 per cell]


Entry 3:
Starting from a crystal structure in Alexandria, relaxed with PBE, the PXRD pattern of NbTcSe4 was computed for Cu Kα (weighted mean of Kα1 and Kα2).
Peak positions follow from Bragg's law for the DFT cell and can differ from measured ones.

Principal peaks in the range 10 to 90 degrees two-theta, in order of rising 2θ:
Position (°2θ)  intensity  (hkl)
12.6  100  2 0 0
34.6  76  3 1 -1
35.6  33  2 0 2
42.4  20  5 1 -1
44.0  12  6 0 -2
47.5  28  5 1 1
53.4  15  1 1 -3
55.0  14  0 2 0

Atomic structure:
Unit cell a=14.3449 b=3.3413 c=6.0171 alpha=90.00 beta=102.60 gamma=90.00
Space group Cm (No. 8)
One atom of each set of equivalent atoms:
Nb (0.0000, 0.0000, 0.0000) [2 per cell]
Tc (0.0112, 0.5000, 0.3949) [2 per cell]
Se (0.1084, 0.5000, 0.8212) [2 per cell]
Se (0.1376, 0.0000, 0.3561) [2 per cell]
Se (0.3707, 0.0000, 0.0524) [2 per cell]
Se (0.4064, 0.5000, 0.5616) [2 per cell]


Entry 4:
Starting from a crystal structure in Alexandria, relaxed with PBE, the PXRD pattern of Ce3Ni3Ru2 was computed for Cu Kα (weighted mean of Kα1 and Kα2).
Peak positions follow from Bragg's law for the DFT cell and can differ from measured ones.

Principal peaks in the range 10 to 90 degrees two-theta, in order of rising 2θ:
Position (°2θ)  intensity  (hkl)
29.0  51  3 1 0
32.9  71  3 1 -1
35.4  100  3 1 1
35.9  47  0 0 2
37.1  74  5 1 0
39.6  58  5 1 -1
42.9  70  1 1 -2
47.6  58  0 2 0

Atomic structure:
Unit cell a=15.8035 b=3.8187 c=5.0558 alpha=90.00 beta=97.96 gamma=90.00
Space group C2/m (No. 12)
One atom of each set of equivalent atoms:
Ce (0.0000, 0.0000, 0.0000) [2 per cell]
Ce (0.1579, 0.0000, 0.5336) [4 per cell]
Ni (0.0000, 0.5000, 0.5000) [2 per cell]
Ni (0.1135, 0.5000, 0.9054) [4 per cell]
Ru (0.2103, 0.0000, 0.1327) [4 per cell]


Entry 5:
Starting from a crystal structure in Alexandria, relaxed with PBE, the PXRD pattern of Tb3Nd3Y5 was computed for Cu Kα (weighted mean of Kα1 and Kα2).
Peak positions follow from Bragg's law for the DFT cell and can differ from measured ones.

Principal peaks in the range 10 to 90 degrees two-theta, in order of rising 2θ:
Position (°2θ)  intensity  (hkl)
30.4  100  0 1 2
35.3  50  2 0 1
50.7  30  1 3 1
50.8  6  3 1 -2
60.3  28  2 1 3
60.4  14  3 2 0
82.7  7  2 5 0
85.3  8  3 3 2

Atomic structure:
Unit cell a=6.2213 b=8.0481 c=8.0506 alpha=107.42 beta=97.38 gamma=104.97
Space group P1 (No. 1)
One atom of each set of equivalent atoms:
Tb (0.0000, 0.0000, 0.0000) [1 per cell]
Tb (0.0904, 0.3625, 0.8186) [1 per cell]
Tb (0.7287, 0.9091, 0.5470) [1 per cell]
Nd (0.5467, 0.1806, 0.9080) [1 per cell]
Nd (0.8200, 0.2729, 0.3650) [1 per cell]
Nd (0.9098, 0.6372, 0.1829) [1 per cell]
Y (0.1822, 0.7272, 0.6382) [1 per cell]
Y (0.2727, 0.0906, 0.4560) [1 per cell]
Y (0.3647, 0.4553, 0.2735) [1 per cell]
Y (0.4550, 0.8180, 0.0906) [1 per cell]
Y (0.6371, 0.5459, 0.7280) [1 per cell]


Entry 6:
Starting from a crystal structure in Alexandria, relaxed with PBE, the PXRD pattern of Nb2MoIr5Rh was computed for Cu Kα (weighted mean of Kα1 and Kα2).
Peak positions follow from Bragg's law for the DFT cell and can differ from measured ones.

Principal peaks in the range 10 to 90 degrees two-theta, in order of rising 2θ:
Position (°2θ)  intensity  (hkl)
34.4  69  2 2 0
36.5  51  2 1 3
38.6  19  3 1 0
40.8  100  2 0 4
45.0  15  3 2 1
51.7  18  4 1 1
57.2  20  4 1 3
65.9  21  4 2 4

Atomic structure:
Unit cell a=7.3821 b=7.3821 c=11.0590 alpha=90.00 beta=90.00 gamma=90.00
Space group I4/mcm (No. 140)
One atom of each set of equivalent atoms:
Nb (0.1182, 0.3818, 0.0000) [8 per cell]
Mo (0.0000, 0.0000, 0.2500) [4 per cell]
Ir (0.0000, 0.0000, 0.0000) [4 per cell]
Ir (0.2075, 0.2925, 0.3621) [16 per cell]
Rh (0.0000, 0.5000, 0.2500) [4 per cell]


Entry 7:
Starting from a crystal structure in Alexandria, relaxed with PBE, the PXRD pattern of Sn3AsPd12 was computed for Cu Kα (weighted mean of Kα1 and Kα2).
Peak positions follow from Bragg's law for the DFT cell and can differ from measured ones.

Principal peaks in the range 10 to 90 degrees two-theta, in order of rising 2θ:
Position (°2θ)  intensity  (hkl)
38.8  100  1 1 4
45.1  33  2 0 0
45.2  16  0 0 8
65.6  11  2 2 0
65.7  21  2 0 8
78.9  25  3 1 4
79.1  12  1 1 12
83.3  11  2 2 8

Atomic structure:
Unit cell a=4.0246 b=4.0246 c=16.0448 alpha=90.00 beta=90.00 gamma=90.00
Space group P4/mmm (No. 123)
One atom of each set of equivalent atoms:
Sn (0.0000, 0.0000, 0.0000) [1 per cell]
Sn (0.0000, 0.0000, 0.2517) [2 per cell]
As (0.0000, 0.0000, 0.5000) [1 per cell]
Pd (0.0000, 0.5000, 0.1266) [4 per cell]
Pd (0.0000, 0.5000, 0.3795) [4 per cell]
Pd (0.5000, 0.5000, 0.0000) [1 per cell]
Pd (0.5000, 0.5000, 0.2537) [2 per cell]
Pd (0.5000, 0.5000, 0.5000) [1 per cell]


What did the third record say?
Starting from a crystal structure in Alexandria, relaxed with PBE, the PXRD pattern of NbTcSe4 was computed for Cu Kα (weighted mean of Kα1 and Kα2).
Peak positions follow from Bragg's law for the DFT cell and can differ from measured ones.

Principal peaks in the range 10 to 90 degrees two-theta, in order of rising 2θ:
Position (°2θ)  intensity  (hkl)
12.6  100  2 0 0
34.6  76  3 1 -1
35.6  33  2 0 2
42.4  20  5 1 -1
44.0  12  6 0 -2
47.5  28  5 1 1
53.4  15  1 1 -3
55.0  14  0 2 0

Atomic structure:
Unit cell a=14.3449 b=3.3413 c=6.0171 alpha=90.00 beta=102.60 gamma=90.00
Space group Cm (No. 8)
One atom of each set of equivalent atoms:
Nb (0.0000, 0.0000, 0.0000) [2 per cell]
Tc (0.0112, 0.5000, 0.3949) [2 per cell]
Se (0.1084, 0.5000, 0.8212) [2 per cell]
Se (0.1376, 0.0000, 0.3561) [2 per cell]
Se (0.3707, 0.0000, 0.0524) [2 per cell]
Se (0.4064, 0.5000, 0.5616) [2 per cell]